Computed X-ray powder pattern of In3NF10 for Cu Kα X-rays, from a cell relaxed with GGA-PBE.

Most intense lines, 10 to 90 degrees two-theta, by angle:
2θ (°)  I_rel  h k l
10.9  24  0 1 0
12.9  34  1 0 0
16.9  50  1 1 0
21.2  100  0 0 2
25.4  93  1 2 0
26.0  45  2 0 0
33.4  33  1 2 2
43.3  26  0 0 4
45.6  33  3 2 0
50.8  53  1 2 4

Crystal structure
```
data_In3NF10
_space_group_name_H-M_alt 'P 2 2 21'
_space_group_IT_number 17
_cell_length_a 6.8461
_cell_length_b 8.1481
_cell_length_c 8.3658
_cell_angle_alpha 90.00
_cell_angle_beta 90.00
_cell_angle_gamma 90.00
loop_
_space_group_symop_operation_xyz
'x,y,z'
'-x,-y,z+1/2'
'x,-y,-z'
'-x,y,-z+1/2'
loop_
_atom_site_label
_atom_site_type_symbol
_atom_site_fract_x
_atom_site_fract_y
_atom_site_fract_z
In1 In 0.0000 0.0103 0.2500
In2 In 0.5000 0.2564 0.7500
In3 In 0.5000 0.2763 0.2500
N1 N 0.0195 0.5000 0.5000
F1 F 0.0271 0.0000 0.0000
F2 F 0.1975 0.2089 0.2483
F3 F 0.2006 0.1854 0.7308
F4 F 0.3306 0.4906 0.7562
F5 F 0.4921 0.2775 0.9998
F6 F 0.5000 0.0100 0.2500
```



Computed X-ray powder pattern of InOF2 for Cu Kα X-rays, from a cell relaxed with GGA-PBE.

Most intense lines, 10 to 90 degrees two-theta, by angle:
2θ (°)  I_rel  h k l
22.2  100  1 1 0
22.6  53  0 0 1
28.5  19  2 0 0
30.4  39  1 1 -1
33.3  26  1 1 1
41.6  14  0 2 1
45.3  17  2 2 0
46.9  19  3 1 0
49.2  18  2 2 -1
49.8  16  1 1 -2

Crystal structure
```
data_InOF2
_space_group_name_H-M_alt 'C 1 2 1'
_space_group_IT_number 5
_cell_length_a 6.3192
_cell_length_b 5.2144
_cell_length_c 3.9678
_cell_angle_alpha 90.00
_cell_angle_beta 98.03
_cell_angle_gamma 90.00
loop_
_space_group_symop_operation_xyz
'x,y,z'
'-x,y,-z'
'x+1/2,y+1/2,z'
'-x+1/2,y+1/2,-z'
loop_
_atom_site_label
_atom_site_type_symbol
_atom_site_fract_x
_atom_site_fract_y
_atom_site_fract_z
In1 In 0.0000 0.0000 0.0000
O1 O 0.0000 0.8469 0.5000
F1 F 0.1934 0.3104 0.8758
```



Computed X-ray powder pattern of InOF for Cu Kα X-rays, from a cell relaxed with GGA-PBE.

Most intense lines, 10 to 90 degrees two-theta, by angle:
2θ (°)  I_rel  h k l
18.3  28  1 1 1
27.1  97  0 2 2
30.3  100  2 0 2
32.7  38  2 2 0
34.6  18  0 0 4
35.1  24  1 3 1
43.1  41  1 3 3
48.3  49  2 2 4
56.2  24  1 5 1
58.6  21  4 2 2

Crystal structure
```
data_InOF
_space_group_name_H-M_alt 'F d d d'
_space_group_IT_number 70
_cell_length_a 7.1703
_cell_length_b 8.5160
_cell_length_c 10.3667
_cell_angle_alpha 90.00
_cell_angle_beta 90.00
_cell_angle_gamma 90.00
loop_
_space_group_symop_operation_xyz
'x,y,z'
'-x,-y,-z'
'-x+1/4,-y+1/4,z'
'x+1/4,y+1/4,-z'
'x,-y+1/4,-z+1/4'
'-x,y+1/4,z+1/4'
'-x+1/4,y,-z+1/4'
'x+1/4,-y,z+1/4'
'x,y+1/2,z+1/2'
'-x,-y+1/2,-z+1/2'
'-x+1/4,-y+3/4,z+1/2'
'x+1/4,y+3/4,-z+1/2'
'x,-y+3/4,-z+3/4'
'-x,y+3/4,z+3/4'
'-x+1/4,y+1/2,-z+3/4'
'x+1/4,-y+1/2,z+3/4'
'x+1/2,y,z+1/2'
'-x+1/2,-y,-z+1/2'
'-x+3/4,-y+1/4,z+1/2'
'x+3/4,y+1/4,-z+1/2'
'x+1/2,-y+1/4,-z+3/4'
'-x+1/2,y+1/4,z+3/4'
'-x+3/4,y,-z+3/4'
'x+3/4,-y,z+3/4'
'x+1/2,y+1/2,z'
'-x+1/2,-y+1/2,-z'
'-x+3/4,-y+3/4,z'
'x+3/4,y+3/4,-z'
'x+1/2,-y+3/4,-z+1/4'
'-x+1/2,y+3/4,z+1/4'
'-x+3/4,y+1/2,-z+1/4'
'x+3/4,-y+1/2,z+1/4'
loop_
_atom_site_label
_atom_site_type_symbol
_atom_site_fract_x
_atom_site_fract_y
_atom_site_fract_z
In1 In 0.1250 0.3256 0.1250
O1 O 0.1250 0.1250 0.2614
F1 F 0.0000 0.0000 0.5000
```



Computed X-ray powder pattern of InOF for Cu Kα X-rays, from a cell relaxed with GGA-PBE.

Most intense lines, 10 to 90 degrees two-theta, by angle:
2θ (°)  I_rel  h k l
18.3  28  1 0 -1
27.1  98  1 -1 1
30.3  100  1 1 0
32.7  39  0 2 -1
34.6  18  0 0 2
35.1  25  1 -2 1
43.1  42  -2 1 2
48.3  49  0 2 -3
56.2  24  -3 2 1
58.6  21  1 3 -3

Crystal structure
```
data_InOF
_space_group_name_H-M_alt 'P 1'
_space_group_IT_number 1
_cell_length_a 5.5663
_cell_length_b 5.5663
_cell_length_c 6.3024
_cell_angle_alpha 111.49
_cell_angle_beta 111.49
_cell_angle_gamma 99.81
loop_
_space_group_symop_operation_xyz
'x,y,z'
loop_
_atom_site_label
_atom_site_type_symbol
_atom_site_fract_x
_atom_site_fract_y
_atom_site_fract_z
In1 In 0.0000 0.0000 0.0000
In2 In 0.1496 0.8499 0.5131
In3 In 0.3910 0.5886 0.9952
In4 In 0.7378 0.2417 0.5051
O1 O 0.0652 0.6672 0.7400
O2 O 0.0853 0.1879 0.7861
O3 O 0.3330 0.9254 0.2752
O4 O 0.8123 0.9094 0.2251
F1 F 0.0756 0.4211 0.2607
F2 F 0.5725 0.4326 0.7597
F3 F 0.5758 0.4278 0.2518
F4 F 0.5784 0.9269 0.7615
```



Computed X-ray powder pattern of InTe2O5F for Cu Kα X-rays, from a cell relaxed with GGA-PBE.

Most intense lines, 10 to 90 degrees two-theta, by angle:
2θ (°)  I_rel  h k l
24.7  23  1 1 3
25.7  72  2 0 1
26.5  75  0 0 4
27.2  60  1 3 1
29.4  27  2 2 0
29.6  100  1 3 2
32.0  30  2 0 3
33.2  38  1 3 3
45.2  22  3 3 1
48.8  28  1 3 6

Crystal structure
```
data_InTe2O5F
_space_group_name_H-M_alt 'C 2 2 21'
_space_group_IT_number 20
_cell_length_a 7.1644
_cell_length_b 11.5172
_cell_length_c 13.4324
_cell_angle_alpha 90.00
_cell_angle_beta 90.00
_cell_angle_gamma 90.00
loop_
_space_group_symop_operation_xyz
'x,y,z'
'-x,-y,z+1/2'
'x,-y,-z'
'-x,y,-z+1/2'
'x+1/2,y+1/2,z'
'-x+1/2,-y+1/2,z+1/2'
'x+1/2,-y+1/2,-z'
'-x+1/2,y+1/2,-z+1/2'
loop_
_atom_site_label
_atom_site_type_symbol
_atom_site_fract_x
_atom_site_fract_y
_atom_site_fract_z
In1 In 0.1487 0.0976 0.3742
Te1 Te 0.0859 0.2318 0.6086
Te2 Te 0.1793 0.4475 0.3536
O1 O 0.0181 0.2186 0.4729
O2 O 0.0539 0.0436 0.8748
O3 O 0.1390 0.4020 0.5850
O4 O 0.1529 0.2661 0.8366
O5 O 0.1845 0.4817 0.2153
F1 F 0.0000 0.1749 0.2500
F2 F 0.2337 0.5000 0.0000
```



Computed X-ray powder pattern of RbIn3F10 for Cu Kα X-rays, from a cell relaxed with GGA-PBE.

Most intense lines, 10 to 90 degrees two-theta, by angle:
2θ (°)  I_rel  h k l
21.1  54  0 0 2
24.7  23  1 0 2
25.6  52  2 0 0
25.9  100  1 2 0
27.2  43  1 1 2
43.0  27  0 0 4
45.4  36  3 2 0
48.4  22  2 3 2
50.9  31  1 2 4
64.3  31  3 2 4

Crystal structure
```
data_RbIn3F10
_space_group_name_H-M_alt 'P 2 2 21'
_space_group_IT_number 17
_cell_length_a 6.9465
_cell_length_b 7.9100
_cell_length_c 8.4201
_cell_angle_alpha 90.00
_cell_angle_beta 90.00
_cell_angle_gamma 90.00
loop_
_space_group_symop_operation_xyz
'x,y,z'
'-x,-y,z+1/2'
'x,-y,-z'
'-x,y,-z+1/2'
loop_
_atom_site_label
_atom_site_type_symbol
_atom_site_fract_x
_atom_site_fract_y
_atom_site_fract_z
Rb1 Rb 0.0093 0.0000 0.0000
In1 In 0.0000 0.4950 0.2500
In2 In 0.5000 0.2235 0.2500
In3 In 0.5000 0.2354 0.7500
F1 F 0.0287 0.5000 0.5000
F2 F 0.1941 0.2923 0.2406
F3 F 0.1957 0.3043 0.7689
F4 F 0.3210 0.0056 0.7392
F5 F 0.5005 0.2220 0.0001
F6 F 0.5000 0.4945 0.2500
```



Computed X-ray powder pattern of RbIn3F10 for Cu Kα X-rays, from a cell relaxed with GGA-PBE.

Most intense lines, 10 to 90 degrees two-theta, by angle:
2θ (°)  I_rel  h k l
21.1  54  2 0 0
24.7  23  2 0 1
25.7  51  0 0 2
25.9  100  0 2 1
27.2  42  2 1 1
43.0  27  4 0 0
45.4  35  0 2 3
48.4  21  2 3 2
50.9  31  4 2 1
64.3  31  4 2 3

Crystal structure
```
data_RbIn3F10
_space_group_name_H-M_alt 'P m m a'
_space_group_IT_number 51
_cell_length_a 8.4197
_cell_length_b 7.9167
_cell_length_c 6.9351
_cell_angle_alpha 90.00
_cell_angle_beta 90.00
_cell_angle_gamma 90.00
loop_
_space_group_symop_operation_xyz
'x,y,z'
'-x,-y,-z'
'-x+1/2,-y,z'
'x+1/2,y,-z'
'x+1/2,-y,-z'
'-x+1/2,y,z'
'-x,y,-z'
'x,-y,z'
loop_
_atom_site_label
_atom_site_type_symbol
_atom_site_fract_x
_atom_site_fract_y
_atom_site_fract_z
Rb1 Rb 0.2500 0.0000 0.0079
In1 In 0.0000 0.2311 0.5000
In2 In 0.0000 0.5000 0.0000
F1 F 0.0000 0.5000 0.5000
F2 F 0.0050 0.0000 0.6796
F3 F 0.0195 0.2966 0.1944
F4 F 0.2500 0.2219 0.5127
F5 F 0.2500 0.5000 0.9626
```



Computed X-ray powder pattern of Rb3InF6 for Cu Kα X-rays, from a cell relaxed with GGA-PBE.

Most intense lines, 10 to 90 degrees two-theta, by angle:
2θ (°)  I_rel  h k l
16.1  5  1 1 1
18.6  6  2 0 0
26.5  100  2 2 0
37.8  39  4 0 0
46.7  40  4 2 2
54.5  24  4 4 0
61.6  20  6 2 0
68.2  8  4 4 4
74.6  22  6 4 2
86.8  11  6 6 0

Crystal structure
```
data_Rb3InF6
_space_group_name_H-M_alt 'F m -3 m'
_space_group_IT_number 225
_space_group_name_Hall '-F 4 2 3'
_cell_length_a 9.5209
_cell_length_b 9.5209
_cell_length_c 9.5209
_cell_angle_alpha 90.00
_cell_angle_beta 90.00
_cell_angle_gamma 90.00
loop_
_atom_site_label
_atom_site_type_symbol
_atom_site_fract_x
_atom_site_fract_y
_atom_site_fract_z
Rb1 Rb 0.0000 0.0000 0.0000
Rb2 Rb 0.2500 0.2500 0.2500
In1 In 0.0000 0.0000 0.5000
F1 F 0.0000 0.0000 0.2788
```